Computed powder XRD pattern of Pm2In3Ru2 for Cu Kα, 1.54184 Å, from DFT lattice parameters and positions (PBE).

Cell and atoms:
```
Pm2In3Ru2
1.0
5.3931 -2.2568 0.0000
5.3931 2.2568 0.0000
-1.4930 0.0000 6.7703
Pm In Ru
2 3 2
direct
0.1254 0.1254 0.3578
0.8746 0.8746 0.6422
0.1947 0.1947 0.8540
0.5000 0.5000 0.0000
0.8053 0.8053 0.1460
0.4235 0.4235 0.3516
0.5765 0.5765 0.6484
```

Top 10 peaks for 10 to 80 degrees two-theta, most intense first:
two_theta  d_spacing  I_rel
32.71  2.738  100.0
32.30  2.771  62.3
39.95  2.257  57.5
37.08  2.424  36.4
38.53  2.337  22.4
35.62  2.520  22.1
56.72  1.623  20.6
63.83  1.458  17.6
33.76  2.655  14.0
34.44  2.604  13.6



Computed powder XRD pattern of Nd2Y2Th3 for Cu Kα, 1.54184 Å, from DFT lattice parameters and positions (PBE).

Cell and atoms:
```
Nd2Y2Th3
1.0
1.7770 -18.5681 0.0000
1.7770 18.5681 0.0000
0.0000 0.0000 3.5603
Nd Y Th
2 2 3
direct
0.2081 0.7919 0.0000
0.7919 0.2081 0.0000
0.3635 0.6365 0.5000
0.6365 0.3635 0.5000
0.0678 0.9322 0.0000
0.5000 0.5000 0.5000
0.9322 0.0678 0.0000
```

Top 10 peaks for 10 to 80 degrees two-theta, most intense first:
two_theta  d_spacing  I_rel
30.27  2.953  100.0
35.78  2.510  70.0
31.67  2.825  64.8
60.74  1.525  42.0
28.93  3.086  40.1
51.82  1.764  40.0
33.79  2.653  33.0
51.37  1.779  24.2
62.92  1.477  22.3
61.66  1.504  19.7



Computed powder XRD pattern of Er3Zn7Pt4 for Cu Kα, 1.54184 Å, from DFT lattice parameters and positions (PBE).

Cell and atoms:
```
Er3Zn7Pt4
1.0
7.5911 -2.1602 0.0000
7.5911 2.1602 0.0000
-5.1887 0.0000 7.6757
Er Zn Pt
3 7 4
direct
0.0000 0.0000 0.0000
0.2948 0.2948 0.2853
0.7052 0.7052 0.7147
0.0000 0.0000 0.5000
0.1453 0.1453 0.4230
0.3280 0.3280 0.9845
0.4951 0.4951 0.6844
0.5049 0.5049 0.3156
0.6720 0.6720 0.0155
0.8547 0.8547 0.5770
0.1171 0.1171 0.8313
0.3393 0.3393 0.7200
0.6607 0.6607 0.2800
0.8829 0.8829 0.1687
```

Top 10 peaks for 10 to 80 degrees two-theta, most intense first:
two_theta  d_spacing  I_rel
41.82  2.160  100.0
35.78  2.509  95.1
36.32  2.473  91.5
34.86  2.574  66.9
44.65  2.029  51.2
33.48  2.677  48.0
36.18  2.483  44.7
41.54  2.174  41.8
29.69  3.009  41.2
23.18  3.838  35.9